Computed X-ray diffraction stick pattern of Na5B2O6 for copper Kα, from the PBE geometry in Alexandria.
Intensities are scaled so that the largest is 100.

```
data_Na5B2O6
_chemical_formula_sum 'Na10 B4 O12'
_cell_length_a 3.550
_cell_length_b 8.666
_cell_length_c 11.087
_cell_angle_alpha 90.00
_cell_angle_beta 96.36
_cell_angle_gamma 90.00
_space_group_name_H-M_alt 'P 1'
_space_group_IT_number 1
_space_group_name_Hall 'P 1'
loop_
_atom_site_label
_atom_site_type_symbol
_atom_site_fract_x
_atom_site_fract_y
_atom_site_fract_z
Na1 Na 0.014 0.000 0.293
Na2 Na 0.153 0.623 0.999
Na3 Na 0.250 0.154 0.752
Na4 Na 0.348 0.688 0.499
Na5 Na 0.480 0.310 0.206
Na6 Na 0.520 0.810 0.794
Na7 Na 0.652 0.188 0.501
Na8 Na 0.750 0.654 0.248
Na9 Na 0.847 0.123 0.001
Na10 Na 0.986 0.500 0.707
B1 B 0.167 0.394 0.410
B2 B 0.329 0.916 0.089
B3 B 0.671 0.416 0.911
B4 B 0.833 0.894 0.590
O1 O 0.049 0.257 0.354
O2 O 0.211 0.399 0.536
O3 O 0.235 0.793 0.158
O4 O 0.264 0.517 0.341
O5 O 0.286 0.912 0.963
O6 O 0.445 0.054 0.146
O7 O 0.555 0.554 0.854
O8 O 0.714 0.412 0.037
O9 O 0.736 0.017 0.659
O10 O 0.765 0.293 0.842
O11 O 0.789 0.899 0.464
O12 O 0.951 0.757 0.646
```

Most intense lines, 10 to 90 degrees two-theta, sorted by position:
19.09°, d = 4.649 Å, rel. 19, (0 1 2)
29.30°, d = 3.048 Å, rel. 53, (1 1 1)
31.99°, d = 2.798 Å, rel. 46, (0 2 3)
33.26°, d = 2.694 Å, rel. 100, (1 0 -3)
34.45°, d = 2.603 Å, rel. 26, (1 2 1)
38.73°, d = 2.325 Å, rel. 19, (1 1 3)
42.56°, d = 2.124 Å, rel. 43, (1 3 -2)
44.96°, d = 2.016 Å, rel. 22, (0 4 2)
46.06°, d = 1.971 Å, rel. 18, (1 0 -5)
52.71°, d = 1.737 Å, rel. 35, (2 1 -1)